[1]
# AcCdPd6
Simulated PXRD pattern, Cu Kα. Input: a structure optimized by DFT (GGA-PBE).

Atomic structure:
```
data_AcCdPd6
_cell_length_a 5.312
_cell_length_b 5.312
_cell_length_c 5.312
_cell_angle_alpha 90.00
_cell_angle_beta 90.00
_cell_angle_gamma 90.00
_space_group_name_H-M_alt 'P m -3'
_space_group_IT_number 200
_space_group_name_Hall '-P 2 2 3'
loop_
_atom_site_label
_atom_site_type_symbol
_atom_site_fract_x
_atom_site_fract_y
_atom_site_fract_z
Ac1 Ac 0.000 0.000 0.000
Cd1 Cd 0.500 0.500 0.500
Pd1 Pd 0.000 0.500 0.256
```

Main lines, sorted by position (10 to 90 degrees two-theta):
d (Å)  intensity  (hkl)
3.756  10  1 1 0
2.656  45  2 0 0
2.375  84  2 0 1
2.168  100  2 1 1
1.473  19  3 2 0
1.420  51  3 1 2
1.328  16  4 0 0
1.188  14  4 2 0
1.159  17  4 1 2
1.132  13  3 3 2

***

[2]
# Pu2Pd3Pb3
Simulated PXRD pattern, Cu Kα. Input: a structure optimized by DFT (GGA-PBE).

Atomic structure:
```
data_Pu2Pd3Pb3
_cell_length_a 8.2308
_cell_length_b 8.2308
_cell_length_c 3.2299
_cell_angle_alpha 90.00
_cell_angle_beta 90.00
_cell_angle_gamma 120.00
_space_group_name_H-M_alt 'P -6 2 m'
_space_group_IT_number 189
_space_group_name_Hall 'P -6 -2'
loop_
_atom_site_label
_atom_site_type_symbol
_atom_site_fract_x
_atom_site_fract_y
_atom_site_fract_z
Pu1 Pu 0.3333 0.6667 0.0000
Pd1 Pd 0.0000 0.6387 0.5000
Pb1 Pb 0.0000 0.2339 0.0000
```

Main lines, sorted by position (10 to 90 degrees two-theta):
d (Å)  intensity  (hkl)
3.564  24  2 0 0
3.230  28  0 0 1
2.694  92  2 1 0
2.541  100  1 1 1
2.393  34  2 0 1
2.376  47  3 0 0
2.069  65  2 1 1
1.459  20  3 2 1
1.401  44  4 1 1
1.385  25  2 1 2

***

[3]
# Pa2Bi3
Simulated PXRD pattern, Cu Kα. Input: a structure optimized by DFT (GGA-PBE).

Atomic structure:
```
data_Pa2Bi3
_cell_length_a 4.341
_cell_length_b 4.341
_cell_length_c 8.831
_cell_angle_alpha 90.00
_cell_angle_beta 90.00
_cell_angle_gamma 90.00
_space_group_name_H-M_alt 'P -4 m 2'
_space_group_IT_number 115
loop_
_space_group_symop_operation_xyz
'x,y,z'
'y,-x,-z'
'-x,-y,z'
'-y,x,-z'
'-x,y,z'
'-y,-x,-z'
'x,-y,z'
'y,x,-z'
loop_
_atom_site_label
_atom_site_type_symbol
_atom_site_fract_x
_atom_site_fract_y
_atom_site_fract_z
Pa1 Pa 0.000 0.500 0.233
Bi1 Bi 0.000 0.500 0.860
Bi2 Bi 0.500 0.500 0.500
```

Main lines, sorted by position (10 to 90 degrees two-theta):
d (Å)  intensity  (hkl)
3.896  35  1 0 1
3.096  46  1 0 2
3.069  70  1 1 0
2.944  37  0 0 3
2.899  75  1 1 1
2.520  100  1 1 2
2.436  77  1 0 3
2.170  72  2 0 0
1.636  35  1 0 5
1.621  46  2 1 3

***

[4]
# V3Se4Br2
Simulated PXRD pattern, Cu Kα. Input: a structure optimized by DFT (GGA-PBE).

Atomic structure:
```
data_V3Se4Br2
_cell_length_a 3.3635
_cell_length_b 3.3635
_cell_length_c 21.4820
_cell_angle_alpha 90.00
_cell_angle_beta 90.00
_cell_angle_gamma 120.00
_space_group_name_H-M_alt 'P -6 m 2'
_space_group_IT_number 187
_space_group_name_Hall 'P -6 2'
loop_
_atom_site_label
_atom_site_type_symbol
_atom_site_fract_x
_atom_site_fract_y
_atom_site_fract_z
V1 V 0.0000 0.0000 0.0000
V2 V 0.3333 0.6667 0.3252
Se1 Se 0.0000 0.0000 0.2509
Se2 Se 0.0000 0.0000 0.3993
Br1 Br 0.3333 0.6667 0.0782
```

Main lines, sorted by position (10 to 90 degrees two-theta):
d (Å)  intensity  (hkl)
7.161  100  0 0 3
3.580  34  0 0 6
2.913  72  1 0 0
2.886  31  1 0 1
2.560  21  1 0 4
2.411  94  1 0 5
2.260  28  1 0 6
2.113  30  1 0 7
1.974  67  1 0 8
1.682  49  1 1 0

***

[5]
# Hg2Pt2Au15
Simulated PXRD pattern, Cu Kα. Input: a structure optimized by DFT (GGA-PBE).

Atomic structure:
```
data_Hg2Pt2Au15
_cell_length_a 9.6287
_cell_length_b 9.6287
_cell_length_c 14.0863
_cell_angle_alpha 90.00
_cell_angle_beta 90.00
_cell_angle_gamma 120.00
_space_group_name_H-M_alt 'R -3 m'
_space_group_IT_number 166
_space_group_name_Hall '-R 3 2"'
loop_
_atom_site_label
_atom_site_type_symbol
_atom_site_fract_x
_atom_site_fract_y
_atom_site_fract_z
Hg1 Hg 0.0000 0.0000 0.1928
Pt1 Pt 0.0000 0.0000 0.4024
Au1 Au 0.0000 0.3065 0.5000
Au2 Au 0.0000 0.5000 0.0000
Au3 Au 0.0043 0.5021 0.6535
```

Main lines, sorted by position (10 to 90 degrees two-theta):
d (Å)  intensity  (hkl)
2.780  33  3 0 0
2.407  56  2 2 0
2.392  100  0 3 3
2.348  33  0 0 6
2.334  26  2 0 5
2.142  81  2 2 3
2.110  28  1 1 6
1.519  20  3 3 3
1.390  31  6 0 0
1.364  21  0 3 9

***

[6]
# Ho3Er4In
Simulated PXRD pattern, Cu Kα. Input: a structure optimized by DFT (GGA-PBE).

Atomic structure:
```
data_Ho3Er4In
_cell_length_a 27.480
_cell_length_b 3.580
_cell_length_c 5.149
_cell_angle_alpha 90.00
_cell_angle_beta 91.57
_cell_angle_gamma 90.00
_space_group_name_H-M_alt 'C 1 2/m 1'
_space_group_IT_number 12
loop_
_space_group_symop_operation_xyz
'x,y,z'
'-x,-y,-z'
'-x,y,-z'
'x,-y,z'
'x+1/2,y+1/2,z'
'-x+1/2,-y+1/2,-z'
'-x+1/2,y+1/2,-z'
'x+1/2,-y+1/2,z'
loop_
_atom_site_label
_atom_site_type_symbol
_atom_site_fract_x
_atom_site_fract_y
_atom_site_fract_z
Ho1 Ho 0.000 0.000 0.000
Ho2 Ho 0.155 0.000 0.735
Er1 Er 0.098 0.500 0.222
Er2 Er 0.218 0.500 0.246
In1 In 0.000 0.500 0.500
```

Main lines, sorted by position (10 to 90 degrees two-theta):
d (Å)  intensity  (hkl)
2.927  32  1 1 -1
2.917  100  1 1 1
2.893  42  8 0 -1
2.821  49  8 0 1
2.645  48  7 1 0
2.573  20  0 0 2
2.542  20  2 0 -2
2.323  32  9 1 0
1.742  21  9 1 -2
1.547  22  1 1 -3